Sr2LiCdWO6: simulated powder XRD pattern (Cu Ka), based on a structure optimized by DFT (PBE+U).
Neutral-atom scattering factors, no anomalous dispersion.

Cell and atoms:
Cell: 6.0501 6.0501 5.8797 Å, 116.98 116.98 92.45°
Fractional coordinates of all 11 atoms:
Sr 0.2065 0.7935 0.0000
Sr 0.7935 0.2065 0.0000
Li 0.2987 0.2987 0.8226
Cd 0.4549 0.4549 0.4378
W 0.8813 0.8813 0.3381
O 0.0690 0.0690 0.7983
O 0.1079 0.6597 0.3329
O 0.1703 0.1703 0.4212
O 0.5773 0.5773 0.1849
O 0.6597 0.1079 0.3329
O 0.7490 0.7490 0.8984

Principal peaks in the range 2θ from 10° to 90°, by angle:
- 2θ = 17.32°, I = 35
- 2θ = 20.00°, I = 42
- 2θ = 20.33°, I = 29
- 2θ = 28.24°, I = 50
- 2θ = 28.67°, I = 92
- 2θ = 29.60°, I = 100
- 2θ = 30.46°, I = 62
- 2θ = 34.41°, I = 25
- 2θ = 41.34°, I = 29
- 2θ = 43.35°, I = 27